Entry 1:
Starting from the PBE geometry in Alexandria, the PXRD pattern of Nb4GeH2 was calculated for Cu Kα.
No peak broadening, texture or thermal motion is included.

Top 6 peaks for 10 to 90 degrees two-theta, by angle:
2.615 Å, intensity 30; 2.476 Å, intensity 44; 2.462 Å, intensity 87; 2.404 Å, intensity 100; 2.214 Å, intensity 77; 1.933 Å, intensity 23

Atomic structure:
```
Nb4GeH2
1.0
0.000 6.110 2.985
5.417 0.000 2.985
5.417 6.110 0.000
Nb Ge H
8 2 4
Direct
0.111 0.301 0.002
0.248 0.664 0.139
0.301 0.111 0.586
0.313 0.687 0.478
0.664 0.248 0.949
0.687 0.313 0.522
0.728 0.772 0.563
0.772 0.728 0.937
0.120 0.120 0.380
0.870 0.870 0.130
0.390 0.512 0.314
0.467 0.936 0.738
0.512 0.390 0.783
0.936 0.467 0.860
```

=====

Entry 2:
Starting from the PBE geometry in Alexandria, the PXRD pattern of Nd2GeH was calculated for Cu Kα.
No peak broadening, texture or thermal motion is included.

Top 6 peaks for 10 to 90 degrees two-theta, by angle:
3.321 Å, intensity 100; 3.179 Å, intensity 60; 2.970 Å, intensity 84; 2.614 Å, intensity 62; 2.297 Å, intensity 49; 2.019 Å, intensity 34

Atomic structure:
```
Nd2GeH
1.0
6.358 0.000 0.000
-3.179 5.506 0.000
0.000 0.000 8.329
Nd Ge H
6 3 3
Direct
0.109 0.392 0.380
0.284 0.891 0.046
0.392 0.109 0.620
0.608 0.716 0.713
0.716 0.608 0.287
0.891 0.284 0.954
0.000 0.598 0.667
0.402 0.402 0.000
0.598 0.000 0.333
0.000 0.546 0.167
0.454 0.454 0.500
0.546 0.000 0.833
```

=====

Entry 3:
Starting from the PBE geometry in Alexandria, the PXRD pattern of Nd3GeH2 was calculated for Cu Kα.
No peak broadening, texture or thermal motion is included.

Top 6 peaks for 10 to 90 degrees two-theta, by angle:
3.790 Å, intensity 18; 3.199 Å, intensity 44; 2.786 Å, intensity 100; 2.500 Å, intensity 28; 1.493 Å, intensity 15; 1.395 Å, intensity 17

Atomic structure:
```
Nd3GeH2
1.0
5.001 0.000 0.000
0.000 12.485 0.000
0.000 0.000 3.978
Nd Ge H
6 2 4
Direct
0.250 0.060 0.244
0.250 0.440 0.244
0.250 0.750 0.692
0.750 0.250 0.308
0.750 0.560 0.756
0.750 0.940 0.756
0.250 0.250 0.761
0.750 0.750 0.239
0.250 0.554 0.739
0.250 0.946 0.739
0.750 0.054 0.261
0.750 0.446 0.261
```